No. 1
Computed XRD peak list
Compound: Pb2O3
Radiation: Cu Ka
Structure: DFT lattice parameters and positions (PBE)
Peak positions follow from Bragg's law for the DFT cell and can differ from measured ones.

Cell and atoms:
abc: 3.574 7.424 5.770
angles: 90.00 90.00 90.00
Space group Pmn2_1 (No. 31)
One atom of each set of equivalent atoms:
Pb1 0.000 0.101 0.000 [2 per cell]
Pb2 0.000 0.385 0.475 [2 per cell]
O1 0.000 0.409 0.043 [2 per cell]
O2 0.000 0.853 0.256 [2 per cell]
O3 0.000 0.860 0.753 [2 per cell]

Most intense lines, 15 to 90 degrees two-theta, in order of falling intensity:
2theta, I/Imax
28.6, 100
31.8, 96
27.7, 42
31.0, 41
42.0, 40
55.2, 33
44.5, 28
59.6, 27
55.7, 21
53.7, 18

---

No. 2
Computed XRD peak list
Compound: U3Si2
Radiation: Cu Ka
Structure: DFT lattice parameters and positions (PBE)
Peak positions follow from Bragg's law for the DFT cell and can differ from measured ones.

Cell and atoms:
abc: 7.239 7.239 3.905
angles: 90.00 90.00 90.00
Space group P4/mbm (No. 127)
One atom of each set of equivalent atoms:
U1 0.000 0.000 0.000 [2 per cell]
U2 0.184 0.316 0.500 [4 per cell]
Si1 0.115 0.615 0.000 [4 per cell]

Most intense lines, 15 to 90 degrees two-theta, in order of falling intensity:
2theta, I/Imax
33.8, 100
36.0, 68
39.4, 40
27.6, 40
28.8, 36
35.1, 29
59.1, 27
57.6, 25
62.5, 22
46.5, 19

---

No. 3
Computed XRD peak list
Compound: KU2F9
Radiation: Cu Ka
Structure: DFT lattice parameters and positions (PBE)
Peak positions follow from Bragg's law for the DFT cell and can differ from measured ones.

Cell and atoms:
abc: 8.139 10.255 10.510
angles: 90.00 90.00 90.00
Space group Pnma (No. 62)
One atom of each set of equivalent atoms:
K1 0.036 0.250 0.001 [4 per cell]
U1 0.120 0.521 0.655 [8 per cell]
F1 0.062 0.606 0.458 [8 per cell]
F2 0.110 0.079 0.238 [8 per cell]
F3 0.139 0.110 0.807 [8 per cell]
F4 0.154 0.750 0.671 [4 per cell]
F5 0.209 0.588 0.044 [8 per cell]

Most intense lines, 15 to 90 degrees two-theta, in order of falling intensity:
2theta, I/Imax
17.3, 100
23.4, 76
20.1, 68
29.3, 65
22.2, 57
26.6, 56
52.1, 39
27.7, 38
32.9, 30
45.2, 26

---

No. 4
Computed XRD peak list
Compound: Na3BSbAsO7
Radiation: Cu Ka
Structure: DFT lattice parameters and positions (PBE)
Peak positions follow from Bragg's law for the DFT cell and can differ from measured ones.

Cell and atoms:
abc: 5.502 7.109 9.554
angles: 90.00 93.18 90.00
Space group P2_1/m (No. 11)
One atom of each set of equivalent atoms:
Na1 0.234 0.250 0.433 [2 per cell]
Na2 0.248 0.508 0.741 [4 per cell]
B1 0.268 0.750 0.437 [2 per cell]
Sb1 0.225 0.750 0.165 [2 per cell]
As1 0.283 0.250 0.098 [2 per cell]
O1 0.045 0.750 0.350 [2 per cell]
O2 0.175 0.250 0.924 [2 per cell]
O3 0.177 0.063 0.196 [4 per cell]
O4 0.272 0.750 0.576 [2 per cell]
O5 0.409 0.750 0.895 [2 per cell]
O6 0.474 0.750 0.355 [2 per cell]

Most intense lines, 15 to 90 degrees two-theta, in order of falling intensity:
2theta, I/Imax
25.1, 100
31.7, 66
32.6, 63
25.4, 56
18.2, 55
19.1, 51
31.1, 50
27.1, 48
45.8, 33
24.0, 32

---

No. 5
Computed XRD peak list
Compound: Sc2MnB2Ir5
Radiation: Cu Ka
Structure: DFT lattice parameters and positions (PBE)
Peak positions follow from Bragg's law for the DFT cell and can differ from measured ones.

Cell and atoms:
abc: 9.425 9.425 3.063
angles: 90.00 90.00 90.00
Space group P4/mbm (No. 127)
One atom of each set of equivalent atoms:
Sc1 0.176 0.324 0.000 [4 per cell]
Mn1 0.000 0.000 0.000 [2 per cell]
B1 0.125 0.625 0.000 [4 per cell]
Ir1 0.000 0.500 0.500 [2 per cell]
Ir2 0.071 0.784 0.500 [8 per cell]

Most intense lines, 15 to 90 degrees two-theta, in order of falling intensity:
2theta, I/Imax
42.3, 100
29.2, 91
39.4, 85
45.6, 60
34.3, 52
42.9, 51
36.3, 51
49.8, 47
78.2, 45
30.0, 40

---

No. 6
Computed XRD peak list
Compound: Sm3SiAgS7
Radiation: Cu Ka
Structure: DFT lattice parameters and positions (PBE)
Peak positions follow from Bragg's law for the DFT cell and can differ from measured ones.

Cell and atoms:
abc: 10.1899 10.1899 5.7570
angles: 90.00 90.00 120.00
Space group P6_3 (No. 173)
One atom of each set of equivalent atoms:
Sm1 0.1266 0.3600 0.0000 [6 per cell]
Si1 0.3333 0.6667 0.4127 [2 per cell]
Ag1 0.0000 0.0000 0.0957 [2 per cell]
S1 0.0964 0.2713 0.5234 [6 per cell]
S2 0.1125 0.5882 0.2647 [6 per cell]
S3 0.3333 0.6667 0.7805 [2 per cell]

Most intense lines, 15 to 90 degrees two-theta, in order of falling intensity:
2theta, I/Imax
25.4, 100
36.7, 65
26.7, 63
41.4, 63
35.2, 56
40.0, 47
23.3, 43
31.0, 39
47.6, 39
48.8, 35

---

No. 7
Computed XRD peak list
Compound: UTe2
Radiation: Cu Ka
Structure: DFT lattice parameters and positions (PBE)
Peak positions follow from Bragg's law for the DFT cell and can differ from measured ones.

Cell and atoms:
abc: 4.435 4.435 8.881
angles: 90.00 90.00 90.00
Space group P4/nmm (No. 129, origin choice 2)
One atom of each set of equivalent atoms:
U1 0.250 0.250 0.234 [2 per cell]
Te1 0.250 0.250 0.867 [2 per cell]
Te2 0.250 0.750 0.500 [2 per cell]

Most intense lines, 15 to 90 degrees two-theta, in order of falling intensity:
2theta, I/Imax
35.0, 100
30.2, 86
40.7, 64
36.5, 59
55.8, 55
28.5, 42
22.4, 41
70.4, 35
58.9, 28
71.3, 28

---

No. 8
Computed XRD peak list
Compound: LiTi3P3O13
Radiation: Cu Ka
Structure: DFT lattice parameters and positions (PBE)
Peak positions follow from Bragg's law for the DFT cell and can differ from measured ones.

Cell and atoms:
abc: 7.654 6.388 10.514
angles: 90.00 99.37 90.00
Space group P2_1/m (No. 11)
One atom of each set of equivalent atoms:
Li1 0.103 0.250 0.138 [2 per cell]
Ti1 0.142 0.250 0.804 [2 per cell]
Ti2 0.286 0.750 0.443 [2 per cell]
Ti3 0.500 0.000 0.000 [2 per cell]
P1 0.193 0.750 0.121 [2 per cell]
P2 0.230 0.750 0.766 [2 per cell]
P3 0.279 0.250 0.516 [2 per cell]
O1 0.001 0.750 0.045 [2 per cell]
O2 0.117 0.560 0.793 [4 per cell]
O3 0.152 0.750 0.262 [2 per cell]
O4 0.166 0.250 0.624 [2 per cell]
O5 0.241 0.054 0.432 [4 per cell]
O6 0.278 0.750 0.630 [2 per cell]
O7 0.292 0.548 0.096 [4 per cell]
O8 0.363 0.250 0.903 [2 per cell]
O9 0.406 0.750 0.869 [2 per cell]
O10 0.480 0.250 0.580 [2 per cell]

Most intense lines, 15 to 90 degrees two-theta, in order of falling intensity:
2theta, I/Imax
32.1, 100
19.1, 90
16.3, 63
27.9, 62
26.4, 62
23.6, 56
30.1, 54
23.7, 43
29.4, 35
22.3, 34